1.
Starting from a structure optimized by DFT (GGA-PBE), the powder diffractogram of Pm4Pr4Nd3 was calculated for Cu Kα (λ = 1.5418 Å).
Peak positions follow from Bragg's law for the DFT cell and can differ from measured ones.

Structure:
abc: 10.964 6.797 6.797
angles: 51.11 90.00 90.00
Fractional coordinates of all 11 atoms:
1 Pm 0.000 0.000 0.000
2 Pm 0.210 0.801 0.801
3 Pm 0.500 0.939 0.939
4 Pm 0.790 0.801 0.801
5 Pr 0.000 0.595 0.595
6 Pr 0.291 0.143 0.143
7 Pr 0.500 0.665 0.665
8 Pr 0.709 0.143 0.143
9 Nd 0.000 0.299 0.299
10 Nd 0.302 0.445 0.445
11 Nd 0.698 0.445 0.445

Most intense lines, 15° ≤ 2θ ≤ 90°, by intensity:
- 2θ = 31.3°, I 100
- 2θ = 30.5°, I 38
- 2θ = 29.7°, I 33
- 2θ = 54.7°, I 29
- 2θ = 60.8°, I 28
- 2θ = 30.3°, I 17
- 2θ = 32.7°, I 15
- 2θ = 45.3°, I 12
- 2θ = 43.5°, I 12
- 2θ = 51.2°, I 12

***

2.
Starting from a structure optimized by DFT (GGA-PBE), the powder diffractogram of Pm5Pr4Nd2 was calculated for Cu Kα (λ = 1.5418 Å).
Peak positions follow from Bragg's law for the DFT cell and can differ from measured ones.

Structure:
abc: 12.416 12.416 9.030
angles: 96.63 96.63 16.34
Fractional coordinates of all 11 atoms:
1 Pm 0.000 0.000 0.000
2 Pm 0.269 0.269 0.173
3 Pm 0.359 0.359 0.886
4 Pm 0.641 0.641 0.114
5 Pm 0.731 0.731 0.827
6 Pr 0.179 0.179 0.471
7 Pr 0.454 0.454 0.639
8 Pr 0.546 0.546 0.361
9 Pr 0.821 0.821 0.529
10 Nd 0.410 0.410 0.265
11 Nd 0.590 0.590 0.735

Most intense lines, 15° ≤ 2θ ≤ 90°, by intensity:
- 2θ = 29.8°, I 100
- 2θ = 31.3°, I 57
- 2θ = 29.9°, I 54
- 2θ = 61.0°, I 29
- 2θ = 36.1°, I 27
- 2θ = 61.9°, I 20
- 2θ = 54.8°, I 18
- 2θ = 28.9°, I 15
- 2θ = 25.5°, I 14
- 2θ = 38.5°, I 13

***

3.
Starting from a structure optimized by DFT (GGA-PBE), the powder diffractogram of Pm3PrNd8 was calculated for Cu Kα (λ = 1.5418 Å).
Peak positions follow from Bragg's law for the DFT cell and can differ from measured ones.

Structure:
abc: 6.361 6.380 11.025
angles: 73.24 89.97 80.60
Fractional coordinates of all 12 atoms:
1 Pm 0.000 0.000 0.000
2 Pm 0.250 0.501 0.250
3 Pm 0.750 0.499 0.750
4 Pr 0.500 0.000 0.500
5 Nd 0.001 0.000 0.333
6 Nd 0.249 0.500 0.917
7 Nd 0.250 0.500 0.583
8 Nd 0.500 0.000 0.166
9 Nd 0.500 0.000 0.834
10 Nd 0.750 0.500 0.417
11 Nd 0.751 0.500 0.083
12 Nd 0.999 0.000 0.667

Most intense lines, 15° ≤ 2θ ≤ 90°, by intensity:
- 2θ = 29.8°, I 100
- 2θ = 34.5°, I 68
- 2θ = 29.7°, I 34
- 2θ = 49.6°, I 32
- 2θ = 58.8°, I 29
- 2θ = 59.0°, I 24
- 2θ = 49.5°, I 16
- 2θ = 83.1°, I 13
- 2θ = 80.6°, I 12
- 2θ = 61.8°, I 8